# AlCuPb2Se4
Calculated X-ray powder pattern, a wavelength of 1.5418 Å. Input: a crystal structure in Alexandria, relaxed with GGA-PBE.

Principal peaks in the range 10° ≤ 2θ ≤ 90°, low angle first:
| two_theta | Rel. int. | hkl |
| --- | --- | --- |
| 24.7 | 36 | 1 1 -1 |
| 27.8 | 100 | 1 0 -2 |
| 29.0 | 22 | 1 1 0 |
| 29.8 | 32 | 2 -1 0 |
| 34.7 | 25 | 2 0 0 |
| 44.3 | 20 | 1 2 0 |

Crystal structure
```
8
Lattice="6.521 0.000 0.000 -2.542 6.031 0.000 -2.549 -2.395 5.534" Properties=species:S:1:pos:R:3 pbc="T T T"
Al 0.000 0.000 0.000
Cu 0.706 -0.264 4.136
Pb 3.977 1.348 3.072
Pb 0.715 3.520 1.649
Se -3.602 4.070 3.678
Se 1.574 -0.125 1.865
Se -0.148 1.878 4.909
Se 5.032 1.876 0.335
```